Starting from a cell relaxed with PBE, the powder diffractogram of Nb9As7Pd was simulated for Cu Kα, 1.54184 Å.
Peak positions follow from Bragg's law for the DFT cell and can differ from measured ones.

abc: 16.768 16.768 3.602
angles: 90.00 90.00 120.00
Element x y z (fractional)
Nb (0.004, 0.874, 0.000)
Nb (0.030, 0.356, 0.500)
Nb (0.072, 0.577, 0.500)
Nb (0.112, 0.797, 0.500)
Nb (0.126, 0.130, 0.000)
Nb (0.203, 0.315, 0.500)
Nb (0.246, 0.534, 0.500)
Nb (0.287, 0.754, 0.500)
Nb (0.317, 0.116, 0.000)
Nb (0.326, 0.970, 0.500)
Nb (0.356, 0.326, 0.000)
Nb (0.423, 0.495, 0.500)
Nb (0.466, 0.713, 0.500)
Nb (0.495, 0.072, 0.000)
Nb (0.505, 0.928, 0.500)
Nb (0.533, 0.288, 0.000)
Nb (0.578, 0.505, 0.000)
Nb (0.644, 0.674, 0.500)
Nb (0.674, 0.030, 0.000)
Nb (0.685, 0.888, 0.500)
Nb (0.712, 0.245, 0.000)
Nb (0.755, 0.467, 0.000)
Nb (0.800, 0.683, 0.000)
Nb (0.870, 0.996, 0.000)
Nb (0.884, 0.200, 0.000)
Nb (0.928, 0.422, 0.000)
Nb (0.970, 0.644, 0.000)
As (0.000, 0.000, 0.500)
As (0.074, 0.268, 0.000)
As (0.115, 0.488, 0.000)
As (0.157, 0.710, 0.000)
As (0.194, 0.926, 0.000)
As (0.263, 0.194, 0.500)
As (0.290, 0.447, 0.000)
As (0.333, 0.667, 0.000)
As (0.373, 0.885, 0.000)
As (0.447, 0.157, 0.500)
As (0.489, 0.374, 0.500)
As (0.512, 0.627, 0.000)
As (0.553, 0.843, 0.000)
As (0.626, 0.115, 0.500)
As (0.667, 0.333, 0.500)
As (0.710, 0.553, 0.500)
As (0.732, 0.806, 0.000)
As (0.806, 0.069, 0.500)
As (0.843, 0.290, 0.500)
As (0.885, 0.511, 0.500)
As (0.931, 0.737, 0.500)
Pd (0.155, 0.005, 0.500)
Pd (0.850, 0.845, 0.500)
Pd (0.995, 0.150, 0.500)

Largest 10 diffraction maxima, in order of falling intensity, 15 to 90 degrees two-theta:
- 2θ 37.81, rel. 100
- 2θ 36.74, rel. 44
- 2θ 39.87, rel. 41
- 2θ 70.86, rel. 38
- 2θ 41.36, rel. 33
- 2θ 49.84, rel. 30
- 2θ 50.68, rel. 29
- 2θ 34.38, rel. 27
- 2θ 42.80, rel. 24
- 2θ 73.83, rel. 19


Starting from a cell relaxed with PBE, the powder diffractogram of SiNiTe2 was simulated for Cu Kα, 1.54184 Å.
Peak positions follow from Bragg's law for the DFT cell and can differ from measured ones.

abc: 3.660 5.105 5.105
angles: 60.76 90.00 90.00
Element x y z (fractional)
Si (0.000, 0.000, 0.000)
Ni (0.500, 0.833, 0.833)
Te (0.000, 0.624, 0.624)
Te (0.500, 0.303, 0.303)

Largest 10 diffraction maxima, in order of falling intensity, 15 to 90 degrees two-theta:
- 2θ 31.79, rel. 100
- 2θ 47.80, rel. 63
- 2θ 31.64, rel. 54
- 2θ 34.75, rel. 50
- 2θ 35.16, rel. 40
- 2θ 62.18, rel. 18
- 2θ 49.83, rel. 18
- 2θ 19.93, rel. 17
- 2θ 20.16, rel. 17
- 2θ 61.08, rel. 15


Starting from a cell relaxed with PBE, the powder diffractogram of Ba3Na2Bi4 was simulated for Cu Kα, 1.54184 Å.
Peak positions follow from Bragg's law for the DFT cell and can differ from measured ones.

abc: 7.327 7.327 10.171
angles: 107.12 107.12 42.04
Element x y z (fractional)
Ba (0.000, 0.000, 0.000)
Ba (0.382, 0.382, 0.312)
Ba (0.618, 0.618, 0.688)
Na (0.305, 0.305, 0.635)
Na (0.695, 0.695, 0.365)
Bi (0.077, 0.077, 0.391)
Bi (0.284, 0.284, 0.939)
Bi (0.716, 0.716, 0.061)
Bi (0.923, 0.923, 0.609)

Largest 10 diffraction maxima, in order of falling intensity, 15 to 90 degrees two-theta:
- 2θ 26.02, rel. 100
- 2θ 27.51, rel. 67
- 2θ 26.71, rel. 65
- 2θ 33.64, rel. 62
- 2θ 34.11, rel. 45
- 2θ 27.73, rel. 29
- 2θ 39.70, rel. 23
- 2θ 18.73, rel. 23
- 2θ 53.06, rel. 21
- 2θ 37.98, rel. 21


Starting from a cell relaxed with PBE, the powder diffractogram of MgHgSb was simulated for Cu Kα, 1.54184 Å.
Peak positions follow from Bragg's law for the DFT cell and can differ from measured ones.

abc: 4.926 4.926 8.448
angles: 90.02 90.02 60.09
Element x y z (fractional)
Mg (0.165, 0.165, 0.269)
Mg (0.835, 0.835, 0.731)
Hg (0.167, 0.167, 0.915)
Hg (0.833, 0.833, 0.085)
Sb (0.499, 0.499, 0.328)
Sb (0.501, 0.501, 0.672)

Largest 10 diffraction maxima, in order of falling intensity, 15 to 90 degrees two-theta:
- 2θ 23.35, rel. 100
- 2θ 36.46, rel. 80
- 2θ 29.76, rel. 80
- 2θ 38.29, rel. 60
- 2θ 53.90, rel. 22
- 2θ 47.75, rel. 22
- 2θ 61.53, rel. 21
- 2θ 43.75, rel. 20
- 2θ 58.22, rel. 16
- 2θ 67.18, rel. 16


Starting from a cell relaxed with PBE, the powder diffractogram of K2Na3H5 was simulated for Cu Kα, 1.54184 Å.
Peak positions follow from Bragg's law for the DFT cell and can differ from measured ones.

abc: 6.554 6.554 9.070
angles: 123.05 123.05 32.50
Element x y z (fractional)
K (0.176, 0.176, 0.267)
K (0.824, 0.824, 0.733)
Na (0.000, 0.000, 0.500)
Na (0.388, 0.388, 0.126)
Na (0.612, 0.612, 0.874)
H (0.189, 0.189, 0.815)
H (0.413, 0.413, 0.587)
H (0.500, 0.500, 0.000)
H (0.587, 0.587, 0.413)
H (0.811, 0.811, 0.185)

Largest 10 diffraction maxima, in order of falling intensity, 15 to 90 degrees two-theta:
- 2θ 30.48, rel. 100
- 2θ 33.76, rel. 82
- 2θ 29.40, rel. 49
- 2θ 29.72, rel. 46
- 2θ 36.82, rel. 28
- 2θ 47.20, rel. 19
- 2θ 50.61, rel. 18
- 2θ 51.01, rel. 16
- 2θ 58.97, rel. 15
- 2θ 58.81, rel. 15


Starting from a cell relaxed with PBE, the powder diffractogram of CsGa12Au7 was simulated for Cu Kα, 1.54184 Å.
Peak positions follow from Bragg's law for the DFT cell and can differ from measured ones.

abc: 7.207 7.873 8.898
angles: 113.23 109.16 97.47
Element x y z (fractional)
Cs (0.000, 0.000, 0.000)
Ga (0.116, 0.462, 0.873)
Ga (0.161, 0.689, 0.701)
Ga (0.233, 0.487, 0.395)
Ga (0.279, 0.198, 0.520)
Ga (0.414, 0.270, 0.893)
Ga (0.497, 0.081, 0.333)
Ga (0.503, 0.919, 0.667)
Ga (0.586, 0.730, 0.107)
Ga (0.721, 0.802, 0.480)
Ga (0.767, 0.513, 0.605)
Ga (0.839, 0.311, 0.299)
Ga (0.884, 0.538, 0.127)
Au (0.098, 0.848, 0.480)
Au (0.289, 0.707, 0.225)
Au (0.499, 0.586, 0.748)
Au (0.500, 0.000, 0.000)
Au (0.501, 0.414, 0.252)
Au (0.711, 0.293, 0.775)
Au (0.902, 0.152, 0.520)

Largest 10 diffraction maxima, in order of falling intensity, 15 to 90 degrees two-theta:
- 2θ 35.02, rel. 100
- 2θ 38.05, rel. 69
- 2θ 32.24, rel. 68
- 2θ 44.19, rel. 60
- 2θ 29.55, rel. 59
- 2θ 21.21, rel. 46
- 2θ 40.49, rel. 46
- 2θ 21.40, rel. 43
- 2θ 21.60, rel. 41
- 2θ 48.40, rel. 40


Starting from a cell relaxed with PBE, the powder diffractogram of ZnP4 was simulated for Cu Kα, 1.54184 Å.
Peak positions follow from Bragg's law for the DFT cell and can differ from measured ones.

abc: 5.044 5.044 14.627
angles: 90.00 90.00 90.00
Element x y z (fractional)
Zn (0.199, 0.199, 0.000)
Zn (0.301, 0.699, 0.250)
Zn (0.699, 0.301, 0.750)
Zn (0.801, 0.801, 0.500)
P (0.012, 0.902, 0.125)
P (0.076, 0.680, 0.799)
P (0.098, 0.988, 0.375)
P (0.180, 0.424, 0.549)
P (0.320, 0.924, 0.701)
P (0.402, 0.488, 0.875)
P (0.424, 0.180, 0.451)
P (0.488, 0.402, 0.125)
P (0.512, 0.598, 0.625)
P (0.576, 0.820, 0.951)
P (0.598, 0.512, 0.375)
P (0.680, 0.076, 0.201)
P (0.820, 0.576, 0.049)
P (0.902, 0.012, 0.875)
P (0.924, 0.320, 0.299)
P (0.988, 0.098, 0.625)

Largest 10 diffraction maxima, in order of falling intensity, 15 to 90 degrees two-theta:
- 2θ 27.83, rel. 100
- 2θ 31.07, rel. 70
- 2θ 43.60, rel. 37
- 2θ 40.46, rel. 35
- 2θ 47.61, rel. 25
- 2θ 51.64, rel. 24
- 2θ 25.41, rel. 21
- 2θ 51.15, rel. 19
- 2θ 35.15, rel. 18
- 2θ 47.07, rel. 17


Starting from a cell relaxed with PBE, the powder diffractogram of KInAgBr6 was simulated for Cu Kα, 1.54184 Å.
Peak positions follow from Bragg's law for the DFT cell and can differ from measured ones.

abc: 7.142 7.142 7.226
angles: 90.00 90.00 120.00
Element x y z (fractional)
K (0.000, 0.000, 0.000)
In (0.333, 0.667, 0.500)
Ag (0.667, 0.333, 0.500)
Br (0.007, 0.380, 0.721)
Br (0.007, 0.627, 0.279)
Br (0.373, 0.380, 0.279)
Br (0.373, 0.993, 0.721)
Br (0.620, 0.627, 0.721)
Br (0.620, 0.993, 0.279)

Largest 10 diffraction maxima, in order of falling intensity, 15 to 90 degrees two-theta:
- 2θ 27.87, rel. 100
- 2θ 35.34, rel. 79
- 2θ 18.89, rel. 44
- 2θ 43.91, rel. 36
- 2θ 45.42, rel. 31
- 2θ 40.56, rel. 22
- 2θ 55.02, rel. 15
- 2θ 38.31, rel. 13
- 2θ 52.81, rel. 13
- 2θ 57.58, rel. 13


Starting from a cell relaxed with PBE, the powder diffractogram of KAlO2 was simulated for Cu Kα, 1.54184 Å.
Peak positions follow from Bragg's law for the DFT cell and can differ from measured ones.

abc: 5.583 5.583 7.778
angles: 90.00 90.00 90.00
Element x y z (fractional)
K (0.225, 0.225, 0.000)
K (0.275, 0.725, 0.250)
K (0.725, 0.275, 0.750)
K (0.775, 0.775, 0.500)
Al (0.212, 0.212, 0.500)
Al (0.288, 0.712, 0.750)
Al (0.712, 0.288, 0.250)
Al (0.788, 0.788, 0.000)
O (0.086, 0.756, 0.923)
O (0.244, 0.914, 0.577)
O (0.256, 0.414, 0.673)
O (0.414, 0.256, 0.327)
O (0.586, 0.744, 0.827)
O (0.744, 0.586, 0.173)
O (0.756, 0.086, 0.077)
O (0.914, 0.244, 0.423)

Largest 10 diffraction maxima, in order of falling intensity, 15 to 90 degrees two-theta:
- 2θ 32.31, rel. 100
- 2θ 32.07, rel. 86
- 2θ 57.32, rel. 39
- 2θ 27.96, rel. 23
- 2θ 57.79, rel. 19
- 2θ 37.85, rel. 17
- 2θ 77.50, rel. 14
- 2θ 43.05, rel. 14
- 2θ 38.28, rel. 14
- 2θ 67.64, rel. 13